Entry 1:
Starting from a PBE+U-relaxed structure, the X-ray diffraction stick pattern of Ac3FeCu2O9 was simulated for CuKα.
Neutral-atom scattering factors, no anomalous dispersion.

Principal peaks in the range 10 to 80 degrees two-theta, most intense first:
h k l, d/Å, I/Imax
1 1 0, 2.802, 100.0
3 0 0, 1.618, 40.1
1 0 1, 3.962, 29.6
2 0 2, 1.981, 28.2
0 2 1, 2.288, 21.7
2 2 0, 1.401, 17.4

Crystal structure
a b c (Å): 5.6012 5.6012 6.8680
angles (deg): 90.00 90.00 120.00
Space group P-3m1 (No. 164)
Symmetry-distinct sites (fractional):
Ac1 0.0000 0.0000 0.0000 [1 per cell]
Ac2 0.3333 0.6667 0.6707 [2 per cell]
Fe1 0.0000 0.0000 0.5000 [1 per cell]
Cu1 0.3333 0.6667 0.1659 [2 per cell]
O1 0.0000 0.5000 0.0000 [3 per cell]
O2 0.1656 0.3311 0.3342 [6 per cell]

Entry 2:
Starting from a PBE+U-relaxed structure, the X-ray diffraction stick pattern of AlMoP2O9 was simulated for CuKα.
Neutral-atom scattering factors, no anomalous dispersion.

Principal peaks in the range 10 to 80 degrees two-theta, most intense first:
h k l, d/Å, I/Imax
2 2 0, 3.183, 100.0
2 1 1, 3.668, 88.5
1 1 2, 3.646, 84.2
0 0 2, 4.448, 75.8
1 0 2, 3.988, 59.7
2 1 2, 2.985, 55.6

Crystal structure
a b c (Å): 9.0018 9.0018 8.8954
angles (deg): 90.00 90.00 90.00
Space group P4/ncc (No. 130, origin choice 2)
Symmetry-distinct sites (fractional):
Al1 0.2500 0.7500 0.0000 [4 per cell]
Mo1 0.2500 0.2500 0.1858 [4 per cell]
P1 0.0683 0.5683 0.2500 [8 per cell]
O1 0.0892 0.1021 0.7369 [16 per cell]
O2 0.1268 0.6458 0.1086 [16 per cell]
O3 0.2500 0.2500 0.4938 [4 per cell]